This entry pairs a crystal structure of Ba3MgV2O9 with its calculated powder XRD pattern. Radiation: Cu Kα X-rays. Structure: a DFT-relaxed cell (PBE+U, Alexandria).
Intensities are scaled so that the largest is 100.

```
data_Ba3MgV2O9
_cell_length_a 5.6972
_cell_length_b 5.6972
_cell_length_c 6.9949
_cell_angle_alpha 90.00
_cell_angle_beta 90.00
_cell_angle_gamma 120.00
_space_group_name_H-M_alt 'P -3 m 1'
_space_group_IT_number 164
_space_group_name_Hall '-P 3 2"'
loop_
_atom_site_label
_atom_site_type_symbol
_atom_site_fract_x
_atom_site_fract_y
_atom_site_fract_z
Ba1 Ba 0.0000 0.0000 0.0000
Ba2 Ba 0.3333 0.6667 0.6755
Mg1 Mg 0.0000 0.0000 0.5000
V1 V 0.3333 0.6667 0.1791
O1 O 0.0000 0.5000 0.0000
O2 O 0.1763 0.3526 0.3205
```

Peak list (6 most intense, 10 to 90 degrees two-theta, low angle first)
| hkl | Position (°2θ) | I (rel.) |
| --- | --- | --- |
| 1 0 1 | 22.05 | 24 |
| 1 1 0 | 31.38 | 100 |
| 0 2 1 | 38.68 | 29 |
| 2 0 2 | 44.97 | 35 |
| 3 0 0 | 55.88 | 29 |
| 3 1 2 | 74.41 | 17 |


This entry pairs a crystal structure of BaMgV2ZnO8 with its calculated powder XRD pattern. Radiation: Cu Kα X-rays. Structure: a DFT-relaxed cell (PBE+U, Alexandria).
Intensities are scaled so that the largest is 100.

```
data_BaMgV2ZnO8
_cell_length_a 8.587
_cell_length_b 12.654
_cell_length_c 12.641
_cell_angle_alpha 90.00
_cell_angle_beta 90.00
_cell_angle_gamma 90.00
_space_group_name_H-M_alt 'I b a 2'
_space_group_IT_number 45
loop_
_space_group_symop_operation_xyz
'x,y,z'
'-x,-y,z'
'-x,y,z+1/2'
'x,-y,z+1/2'
'x+1/2,y+1/2,z+1/2'
'-x+1/2,-y+1/2,z+1/2'
'-x+1/2,y+1/2,z'
'x+1/2,-y+1/2,z'
loop_
_atom_site_label
_atom_site_type_symbol
_atom_site_fract_x
_atom_site_fract_y
_atom_site_fract_z
Ba1 Ba 0.125 0.250 0.000
Mg1 Mg 0.126 0.082 0.330
V1 V 0.000 0.000 0.079
V2 V 0.000 0.500 0.418
V3 V 0.249 0.170 0.749
Zn1 Zn 0.124 0.418 0.666
O1 O 0.095 0.088 0.496
O2 O 0.095 0.411 0.501
O3 O 0.115 0.091 0.821
O4 O 0.117 0.407 0.176
O5 O 0.134 0.073 0.157
O6 O 0.134 0.428 0.841
O7 O 0.154 0.252 0.661
O8 O 0.157 0.247 0.337
```

Peak list (6 most intense, 10 to 90 degrees two-theta, low angle first)
| hkl | Position (°2θ) | I (rel.) |
| --- | --- | --- |
| 2 1 1 | 22.98 | 32 |
| 2 3 1 | 30.55 | 100 |
| 1 1 4 | 30.96 | 39 |
| 0 2 4 | 31.64 | 59 |
| 4 2 2 | 46.94 | 57 |
| 4 6 0 | 61.67 | 40 |